(1)
The following is a simulated X-ray powder pattern of Ho5Ir3. It was derived from a cell relaxed with PBE, using Cu Kα (weighted mean of Kα1 and Kα2).
Intensities are scaled so that the largest is 100.

Top 10 peaks for 2θ = 5–70°, by angle:
hkl  two_theta  I_rel
2 1 1  23.08  17
3 1 1  29.60  38
3 2 1  32.95  33
2 1 2  33.74  42
4 2 0  37.03  100
3 0 2  37.71  20
3 1 2  38.65  28
2 1 3  46.83  21
4 4 0  47.37  18
1 1 4  59.46  14

Structure:
Unit cell a=10.8454 b=10.8454 c=6.3493 alpha=90.00 beta=90.00 gamma=90.00
Space group P4/ncc (No. 130, origin choice 2)
Unique sites:
Ho1 0.0416 0.1621 0.1206 (multiplicity 16)
Ho2 0.2500 0.7500 0.0000 (multiplicity 4)
Ir1 0.0964 0.5964 0.7500 (multiplicity 8)
Ir2 0.2500 0.2500 0.3751 (multiplicity 4)


(2)
The following is a simulated X-ray powder pattern of Na4PmDy3Te8. It was derived from a cell relaxed with PBE, using Cu Kα (weighted mean of Kα1 and Kα2).
Intensities are scaled so that the largest is 100.

Top 10 peaks for 2θ = 5–70°, by angle:
hkl  two_theta  I_rel
0 0 3  11.69  34
0 2 1  23.41  13
0 2 4  27.98  100
0 2 7  36.20  10
2 0 8  39.43  38
2 2 0  40.53  37
4 0 4  49.97  20
0 4 8  57.83  12
2 2 12  64.66  17
2 4 4  66.22  17

Structure:
Unit cell a=8.9028 b=8.9028 c=22.7020 alpha=90.00 beta=90.00 gamma=120.00
Space group R-3m (No. 166, hexagonal axes)
Unique sites:
Na1 0.0000 0.0000 0.0000 (multiplicity 3)
Na2 0.0000 0.5000 0.0000 (multiplicity 9)
Pm1 0.0000 0.0000 0.5000 (multiplicity 3)
Dy1 0.0000 0.5000 0.5000 (multiplicity 9)
Te1 0.0000 0.0000 0.2437 (multiplicity 6)
Te2 0.0051 0.5026 0.7553 (multiplicity 18)


(3)
The following is a simulated X-ray powder pattern of NaAc4Tl7. It was derived from a cell relaxed with PBE, using Cu Kα (weighted mean of Kα1 and Kα2).
Intensities are scaled so that the largest is 100.

Top 10 peaks for 2θ = 5–70°, by angle:
hkl  two_theta  I_rel
1 1 0  16.88  22
4 0 -3  26.98  34
2 0 -4  29.18  34
0 2 0  30.65  66
3 1 1  31.68  100
1 1 -4  34.63  48
5 1 -3  35.64  50
4 2 -3  41.29  23
2 2 -4  42.83  26
3 3 1  55.15  22

Structure:
Unit cell a=14.2247 b=5.8331 c=12.3201 alpha=90.00 beta=121.92 gamma=90.00
Space group C2/m (No. 12)
Unique sites:
Na1 0.0000 0.0000 0.0000 (multiplicity 2)
Ac1 0.0836 0.5000 0.7781 (multiplicity 4)
Ac2 0.2360 0.5000 0.3306 (multiplicity 4)
Tl1 0.0000 0.5000 0.0000 (multiplicity 2)
Tl2 0.0858 0.0000 0.3203 (multiplicity 4)
Tl3 0.1266 0.5000 0.5293 (multiplicity 4)
Tl4 0.2184 0.0000 0.9146 (multiplicity 4)


(4)
The following is a simulated X-ray powder pattern of BaLiBeH6. It was derived from a cell relaxed with PBE, using Cu Kα (weighted mean of Kα1 and Kα2).
Intensities are scaled so that the largest is 100.

Top 10 peaks for 2θ = 5–70°, by angle:
hkl  two_theta  I_rel
0 0 1  18.24  35
1 0 0  21.92  75
1 0 1  28.66  100
1 1 0  38.45  23
1 1 1  42.86  25
1 0 2  43.38  27
2 0 0  44.69  13
2 0 1  48.65  22
1 1 2  54.39  18
2 1 1  63.65  20

Structure:
Unit cell a=4.6829 b=4.6829 c=4.8645 alpha=90.00 beta=90.00 gamma=120.00
Space group P-6m2 (No. 187)
Unique sites:
Ba1 0.0000 0.0000 0.0000 (multiplicity 1)
Li1 0.6667 0.3333 0.5000 (multiplicity 1)
Be1 0.3333 0.6667 0.5000 (multiplicity 1)
H1 0.0338 0.5169 0.2845 (multiplicity 6)


(5)
The following is a simulated X-ray powder pattern of Pu6As5S. It was derived from a cell relaxed with PBE, using Cu Kα (weighted mean of Kα1 and Kα2).
Intensities are scaled so that the largest is 100.

Top 6 peaks for 2θ = 5–70°, by angle:
hkl  two_theta  I_rel
0 0 2  26.49  55
1 3 1  30.68  100
2 0 2  43.95  76
1 3 3  52.05  28
0 0 4  54.55  27
2 6 2  63.90  13

Structure:
Unit cell a=7.1379 b=12.3623 c=7.1362 alpha=90.00 beta=109.48 gamma=90.00
Space group C2/m (No. 12)
Unique sites:
Pu1 0.2454 0.0000 0.2519 (multiplicity 4)
Pu2 0.2465 0.1641 0.7472 (multiplicity 8)
As1 0.0000 0.1685 0.0000 (multiplicity 4)
As2 0.0000 0.3335 0.5000 (multiplicity 4)
As3 0.0000 0.5000 0.0000 (multiplicity 2)
S1 0.0000 0.0000 0.5000 (multiplicity 2)


(6)
The following is a simulated X-ray powder pattern of Ca3Pm4Ge4. It was derived from a cell relaxed with PBE, using Cu Kα (weighted mean of Kα1 and Kα2).
Intensities are scaled so that the largest is 100.

Top 10 peaks for 2θ = 5–70°, by angle:
hkl  two_theta  I_rel
0 0 2  10.34  70
1 0 1  22.52  46
1 0 3  26.97  65
1 2 1  30.09  92
1 1 4  31.98  45
0 3 3  33.68  87
1 0 5  34.28  55
0 2 6  37.27  100
1 3 2  38.73  49
2 0 0  44.67  35

Structure:
Unit cell a=4.0570 b=9.0219 c=17.1130 alpha=90.00 beta=90.00 gamma=90.00
Space group Immm (No. 71)
Unique sites:
Ca1 0.0000 0.0000 0.0000 (multiplicity 2)
Ca2 0.0000 0.5000 0.0982 (multiplicity 4)
Pm1 0.0000 0.3130 0.3290 (multiplicity 8)
Ge1 0.0000 0.0000 0.2634 (multiplicity 4)
Ge2 0.0000 0.2307 0.5000 (multiplicity 4)


(7)
The following is a simulated X-ray powder pattern of HoTm6Mg. It was derived from a cell relaxed with PBE, using Cu Kα (weighted mean of Kα1 and Kα2).
Intensities are scaled so that the largest is 100.

Top 10 peaks for 2θ = 5–70°, by angle:
hkl  two_theta  I_rel
1 1 0  12.86  6
2 0 0  18.23  3
2 2 1  31.63  100
0 0 2  36.17  18
4 0 0  36.94  33
4 0 2  52.66  24
4 4 0  53.23  12
2 2 3  62.23  15
6 2 1  63.26  28
4 4 2  66.06  12

Structure:
Unit cell a=9.7301 b=9.7377 c=4.9664 alpha=90.00 beta=90.00 gamma=90.00
Space group Cmmm (No. 65)
Unique sites:
Ho1 0.0000 0.0000 0.0000 (multiplicity 2)
Tm1 0.0000 0.2469 0.5000 (multiplicity 4)
Tm2 0.2469 0.0000 0.5000 (multiplicity 4)
Tm3 0.2500 0.2500 0.0000 (multiplicity 4)
Mg1 0.0000 0.5000 0.0000 (multiplicity 2)


(8)
The following is a simulated X-ray powder pattern of ZrSc2In. It was derived from a cell relaxed with PBE, using Cu Kα (weighted mean of Kα1 and Kα2).
Intensities are scaled so that the largest is 100.

Top 10 peaks for 2θ = 5–70°, by angle:
hkl  two_theta  I_rel
0 0 2  21.07  14
1 0 0  26.91  15
1 0 2  34.43  100
1 1 0  38.43  37
0 0 4  42.90  13
1 1 2  44.23  8
1 0 4  51.37  5
2 0 0  55.47  12
1 1 4  58.94  20
2 1 2  66.95  26

Structure:
Unit cell a=3.3128 b=3.3128 c=8.4324 alpha=90.00 beta=90.00 gamma=90.00
Space group P4/mmm (No. 123)
Unique sites:
Zr1 0.0000 0.0000 0.0000 (multiplicity 1)
Sc1 0.5000 0.5000 0.2549 (multiplicity 2)
In1 0.0000 0.0000 0.5000 (multiplicity 1)


(9)
The following is a simulated X-ray powder pattern of Ga8Ge. It was derived from a cell relaxed with PBE, using Cu Kα (weighted mean of Kα1 and Kα2).
Intensities are scaled so that the largest is 100.

Top 10 peaks for 2θ = 5–70°, by angle:
hkl  two_theta  I_rel
0 6 0  34.02  100
0 0 3  35.54  90
1 1 1  35.84  75
1 1 -2  37.30  67
1 5 1  45.85  48
1 5 -2  47.05  44
0 6 3  50.02  66
1 7 1  54.37  16
1 7 -2  55.44  15
2 0 -1  65.32  15

Structure:
Unit cell a=2.8601 b=15.8126 c=7.6542 alpha=90.00 beta=98.10 gamma=90.00
Space group C2/m (No. 12)
Unique sites:
Ga1 0.0000 0.1699 0.0000 (multiplicity 4)
Ga2 0.1641 0.3286 0.3333 (multiplicity 8)
Ga3 0.1680 0.5000 0.3285 (multiplicity 4)
Ge1 0.0000 0.0000 0.0000 (multiplicity 2)


(10)
The following is a simulated X-ray powder pattern of Na4MgHg5. It was derived from a cell relaxed with PBE, using Cu Kα (weighted mean of Kα1 and Kα2).
Intensities are scaled so that the largest is 100.

Top 10 peaks for 2θ = 5–70°, by angle:
hkl  two_theta  I_rel
0 0 5  22.67  41
1 0 0  25.04  68
1 0 5  34.03  100
1 1 0  35.71  46
1 1 5  42.71  33
2 0 0  51.39  17
1 0 10  53.34  15
2 0 5  56.85  15
1 1 10  59.80  17
2 1 5  63.08  34

Structure:
Unit cell a=3.5561 b=3.5561 c=19.6131 alpha=90.00 beta=90.00 gamma=90.00
Space group P4/mmm (No. 123)
Unique sites:
Na1 0.0000 0.0000 0.1022 (multiplicity 2)
Na2 0.0000 0.0000 0.3089 (multiplicity 2)
Mg1 0.0000 0.0000 0.5000 (multiplicity 1)
Hg1 0.5000 0.5000 0.0000 (multiplicity 1)
Hg2 0.5000 0.5000 0.2042 (multiplicity 2)
Hg3 0.5000 0.5000 0.4107 (multiplicity 2)


(11)
The following is a simulated X-ray powder pattern of PrDyY2Sc2. It was derived from a cell relaxed with PBE, using Cu Kα (weighted mean of Kα1 and Kα2).
Intensities are scaled so that the largest is 100.

Top 10 peaks for 2θ = 5–70°, by angle:
hkl  two_theta  I_rel
0 2 0  10.08  38
0 4 0  20.24  27
2 2 0  30.15  100
0 6 0  30.59  62
1 2 1  31.82  45
1 6 0  33.82  18
2 4 0  35.10  27
1 4 1  36.54  42
1 6 1  43.43  23
3 2 1  52.44  19

Structure:
Unit cell a=6.2925 b=17.5489 c=3.3674 alpha=90.00 beta=90.00 gamma=90.00
Space group Pnnm (No. 58)
Unique sites:
Pr1 0.0000 0.0000 0.0000 (multiplicity 2)
Dy1 0.0000 0.5000 0.0000 (multiplicity 2)
Y1 0.2177 0.1930 0.0000 (multiplicity 4)
Sc1 0.2142 0.3550 0.5000 (multiplicity 4)


(12)
The following is a simulated X-ray powder pattern of Np2SnS4. It was derived from a cell relaxed with PBE, using Cu Kα (weighted mean of Kα1 and Kα2).
Intensities are scaled so that the largest is 100.

Top 10 peaks for 2θ = 5–70°, by angle:
hkl  two_theta  I_rel
2 0 0  12.94  100
2 0 -2  25.58  43
1 1 -1  25.73  85
4 0 0  26.06  27
4 0 -2  28.86  67
2 0 2  36.62  19
3 1 1  36.83  53
6 0 -2  37.05  66
3 1 -3  45.18  36
0 2 0  45.45  18

Structure:
Unit cell a=15.2815 b=3.9913 c=6.9651 alpha=90.00 beta=116.47 gamma=90.00
Space group C2/m (No. 12)
Unique sites:
Np1 0.2330 0.0000 0.2303 (multiplicity 4)
Sn1 0.0000 0.5000 0.5000 (multiplicity 2)
S1 0.1381 0.5000 0.9520 (multiplicity 4)
S2 0.1468 0.0000 0.5002 (multiplicity 4)


(13)
The following is a simulated X-ray powder pattern of SmGa6Pd6. It was derived from a cell relaxed with PBE, using Cu Kα (weighted mean of Kα1 and Kα2).
Intensities are scaled so that the largest is 100.

Top 10 peaks for 2θ = 5–70°, by angle:
hkl  two_theta  I_rel
2 0 2  37.74  62
0 0 4  37.87  32
2 2 0  39.16  100
1 3 2  40.83  20
0 4 0  43.07  36
2 2 2  43.66  61
0 2 4  43.78  29
0 4 2  47.29  23
0 4 4  58.61  22
2 0 6  68.31  24

Structure:
Unit cell a=5.5111 b=8.4013 c=9.5034 alpha=90.00 beta=90.00 gamma=90.00
Space group Immm (No. 71)
Unique sites:
Sm1 0.0000 0.0000 0.0000 (multiplicity 2)
Ga1 0.0000 0.0000 0.3428 (multiplicity 4)
Ga2 0.0000 0.3521 0.0000 (multiplicity 4)
Ga3 0.0000 0.5000 0.3214 (multiplicity 4)
Pd1 0.0000 0.2593 0.5000 (multiplicity 4)
Pd2 0.2500 0.2500 0.2500 (multiplicity 8)